# 1
Calculated XRD peak list
Compound: Tb3Pr8Nd
Radiation: CuKα
Structure: a cell relaxed with PBE

Top 6 peaks for 10 to 90 degrees two-theta, low angle first:
2θ 23.70, intensity 56; 2θ 25.20, intensity 51; 2θ 28.50, intensity 77; 2θ 30.49, intensity 71; 2θ 35.51, intensity 100; 2θ 42.22, intensity 53

```
Tb3Pr8Nd
1.0
-4.4298 4.4298 5.8631
4.4298 -4.4298 5.8631
4.4298 4.4298 -5.8631
Tb Pr Nd
3 8 1
Direct
0.0000 0.0000 0.0000
0.2500 0.7500 0.5000
0.7500 0.2500 0.5000
0.1237 0.3723 0.0000
0.2416 0.7460 0.0000
0.2540 0.2540 0.4956
0.3723 0.1237 0.0000
0.6277 0.6277 0.7514
0.7460 0.2416 0.0000
0.7584 0.7584 0.5044
0.8763 0.8763 0.2486
0.5000 0.5000 0.0000
```


# 2
Calculated XRD peak list
Compound: YTmPdRu
Radiation: CuKα
Structure: a cell relaxed with PBE

Top 6 peaks for 10 to 90 degrees two-theta, low angle first:
2θ 12.88, intensity 7; 2θ 29.07, intensity 3; 2θ 37.01, intensity 100; 2θ 53.34, intensity 17; 2θ 66.70, intensity 34; 2θ 78.81, intensity 11

```
YTmPdRu
1.0
3.4336 0.0000 0.0000
0.0000 3.4336 0.0000
0.0000 0.0000 6.8755
Y Tm Pd Ru
1 1 1 1
Direct
0.0000 0.0000 0.0000
0.0000 0.0000 0.4804
0.5000 0.5000 0.7320
0.5000 0.5000 0.2461
```